Entry 1:
# Tm4Lu3Ni2Te2
Theoretical powder X-ray diffraction pattern, CuKα. Input: DFT lattice parameters and positions (GGA-PBE).
Intensities are scaled so that the largest is 1000.

Structure:
Unit cell a=9.1828 b=9.1828 c=9.1828 alpha=156.07 beta=67.24 gamma=118.22
Fractional positions:
Tm: 0.1347 0.0000 0.1347
Tm: 0.2068 0.8533 0.3535
Tm: 0.4998 0.8533 0.6465
Tm: 0.8653 0.0000 0.8653
Lu: 0.5200 0.2053 0.3147
Lu: 0.5817 0.5817 0.0000
Lu: 0.8905 0.2053 0.6853
Ni: 0.2770 0.5131 0.7638
Ni: 0.7493 0.5131 0.2362
Te: 0.2434 0.2434 0.0000
Te: 0.8484 0.3484 0.5000

Peak list (6 most intense, 10 to 90 degrees two-theta, by angle)
2theta	I_rel
30.74	766
33.50	830
34.58	1000
35.04	533
47.78	299
59.61	374

Entry 2:
# Tm4Lu3Ni2Te2
Theoretical powder X-ray diffraction pattern, CuKα. Input: DFT lattice parameters and positions (GGA-PBE).
Intensities are scaled so that the largest is 1000.

Structure:
Unit cell a=9.1864 b=9.1864 c=9.1864 alpha=156.08 beta=67.25 gamma=118.20
Fractional positions:
Tm: 0.1463 0.0000 0.1463
Tm: 0.1673 0.3525 0.8148
Tm: 0.5377 0.3525 0.1852
Tm: 0.8537 0.0000 0.8537
Lu: 0.2285 0.7285 0.5000
Lu: 0.5121 0.1468 0.3652
Lu: 0.7816 0.1468 0.6348
Ni: 0.3963 0.6597 0.7366
Ni: 0.9231 0.6597 0.2634
Te: 0.4960 0.4960 0.0000
Te: 0.8896 0.3896 0.5000

Peak list (6 most intense, 10 to 90 degrees two-theta, by angle)
2theta	I_rel
30.73	753
33.48	811
34.57	1000
35.03	523
47.78	292
59.59	364